Calculated PXRD pattern of Li3PuU2Te6 for Cu Kα X-rays, from a cell relaxed with PBE.
No peak broadening, texture or thermal motion is included.

Most intense lines, 2θ from 10° to 90°, in order of rising 2θ:
d (Å)	2θ/deg	I/Imax
7.099	12.5	43
3.705	24.0	36
3.073	29.1	100
2.820	31.7	21
2.366	38.0	13
2.173	41.6	76
2.077	43.6	13
1.774	51.5	27
1.600	57.6	12
1.536	60.2	13
1.374	68.3	35
1.254	75.8	26

Crystal structure
a b c (Å): 7.5252 7.5252 7.5291
angles (deg): 99.59 99.59 120.02
Positions (direct):
Li: 0.0000 0.0000 0.0000
Li: 0.3334 0.6666 0.0000
Li: 0.6666 0.3334 0.0000
Pu: 0.5000 0.5000 0.5000
U: 0.1664 0.8336 0.5000
U: 0.8336 0.1664 0.5000
Te: 0.0762 0.4137 0.2407
Te: 0.2497 0.2497 0.7608
Te: 0.4137 0.0762 0.2407
Te: 0.5863 0.9238 0.7593
Te: 0.7503 0.7503 0.2392
Te: 0.9238 0.5863 0.7593

=====

Calculated PXRD pattern of Li3PuU3Te8 for Cu Kα X-rays, from a cell relaxed with PBE.
No peak broadening, texture or thermal motion is included.

Most intense lines, 2θ from 10° to 90°, in order of rising 2θ:
d (Å)	2θ/deg	I/Imax
7.050	12.6	45
3.727	23.9	36
3.079	29.0	100
2.821	31.7	20
2.186	41.3	39
2.168	41.7	38
2.088	43.3	14
1.783	51.3	21
1.539	60.1	13
1.382	67.8	18
1.372	68.4	17
1.259	75.5	13

Crystal structure
a b c (Å): 8.6691 8.6691 8.6765
angles (deg): 119.44 119.44 60.56
Positions (direct):
Li: 0.0000 0.0000 0.0000
Li: 0.0000 0.5000 0.5000
Li: 0.5000 0.0000 0.5000
Pu: 0.0000 0.0000 0.5000
U: 0.0000 0.5000 0.0000
U: 0.5000 0.0000 0.0000
U: 0.5000 0.5000 0.5000
Te: 0.2462 0.2462 0.2533
Te: 0.2540 0.2540 0.7537
Te: 0.2544 0.7465 0.2448
Te: 0.2535 0.7456 0.7552
Te: 0.7465 0.2544 0.2448
Te: 0.7456 0.2535 0.7552
Te: 0.7460 0.7460 0.2463
Te: 0.7538 0.7538 0.7467

=====

Calculated PXRD pattern of LiPuTl for Cu Kα X-rays, from a cell relaxed with PBE.
No peak broadening, texture or thermal motion is included.

Most intense lines, 2θ from 10° to 90°, in order of rising 2θ:
d (Å)	2θ/deg	I/Imax
4.470	19.9	34
3.570	24.9	65
2.580	34.8	96
2.472	36.3	100
2.091	43.3	16
1.785	51.2	39
1.625	56.7	14
1.490	62.3	18
1.468	63.4	41
1.290	73.4	11
1.286	73.6	23
1.144	84.7	19

Crystal structure
a b c (Å): 5.1610 5.1610 5.9353
angles (deg): 90.00 90.00 120.00
Positions (direct):
Li: 0.3333 0.6667 0.2500
Li: 0.6667 0.3333 0.7500
Pu: 0.0000 0.0000 0.0000
Pu: 0.0000 0.0000 0.5000
Tl: 0.3333 0.6667 0.7500
Tl: 0.6667 0.3333 0.2500